Theoretical X-ray diffraction stick pattern of La2SmS4 for CuKα, from a DFT-relaxed cell (PBE, the Materials Project).
Neutral-atom scattering factors, no anomalous dispersion.

Principal peaks in the range 5 to 70 degrees two-theta, in order of rising 2θ:
25.18°, intensity 100; 29.15°, intensity 8; 32.69°, intensity 96; 38.90°, intensity 59; 46.91°, intensity 40; 49.34°, intensity 26; 51.69°, intensity 8; 53.96°, intensity 29; 58.31°, intensity 6; 66.53°, intensity 32; 66.63°, intensity 5; 68.46°, intensity 5

Cell and atoms:
Lattice parameters (Å, degrees): 7.502 7.502 7.502 109.42 109.42 109.58
Sites, in units of the cell vectors:
1 La 0.005 0.125 0.380
2 La 0.375 0.995 0.120
3 La 0.745 0.625 0.620
4 La 0.875 0.255 0.880
5 Sm 0.250 0.750 0.500
6 Sm 0.500 0.500 0.000
7 S 0.130 0.025 0.750
8 S 0.130 0.525 0.750
9 S 0.275 0.380 0.250
10 S 0.475 0.225 0.605
11 S 0.620 0.870 0.395
12 S 0.620 0.870 0.895
13 S 0.775 0.380 0.250
14 S 0.975 0.725 0.105

---

Theoretical X-ray diffraction stick pattern of La2SnS5 for CuKα, from a DFT-relaxed cell (PBE, the Materials Project).
Neutral-atom scattering factors, no anomalous dispersion.

Principal peaks in the range 5 to 70 degrees two-theta, in order of rising 2θ:
22.38°, intensity 49; 25.93°, intensity 83; 26.05°, intensity 100; 27.06°, intensity 38; 32.56°, intensity 94; 34.34°, intensity 39; 35.39°, intensity 78; 38.73°, intensity 38; 43.85°, intensity 30; 44.82°, intensity 38; 47.27°, intensity 33; 52.58°, intensity 31

Cell and atoms:
Lattice parameters (Å, degrees): 7.946 11.368 4.044 90.00 90.00 90.00
Sites, in units of the cell vectors:
1 La 0.074 0.169 0.000
2 La 0.426 0.669 0.000
3 La 0.574 0.331 0.000
4 La 0.926 0.831 0.000
5 Sn 0.000 0.500 0.500
6 Sn 0.500 0.000 0.500
7 S 0.000 0.000 0.500
8 S 0.144 0.703 0.500
9 S 0.190 0.431 0.000
10 S 0.310 0.931 0.000
11 S 0.356 0.203 0.500
12 S 0.500 0.500 0.500
13 S 0.644 0.797 0.500
14 S 0.690 0.069 0.000
15 S 0.810 0.569 0.000
16 S 0.856 0.297 0.500

---

Theoretical X-ray diffraction stick pattern of LaThUS5 for CuKα, from a DFT-relaxed cell (PBE, the Materials Project).
Neutral-atom scattering factors, no anomalous dispersion.

Principal peaks in the range 5 to 70 degrees two-theta, in order of rising 2θ:
21.88°, intensity 18; 23.74°, intensity 47; 25.18°, intensity 100; 26.05°, intensity 75; 26.50°, intensity 61; 35.87°, intensity 63; 37.21°, intensity 26; 42.63°, intensity 18; 44.66°, intensity 33; 45.21°, intensity 17; 45.46°, intensity 43; 51.97°, intensity 30

Cell and atoms:
Lattice parameters (Å, degrees): 7.497 8.112 12.035 90.00 90.00 90.00
Sites, in units of the cell vectors:
1 La 0.024 0.250 0.071
2 La 0.476 0.750 0.571
3 La 0.524 0.250 0.929
4 La 0.976 0.750 0.429
5 Th 0.023 0.750 0.073
6 Th 0.477 0.250 0.573
7 Th 0.523 0.750 0.927
8 Th 0.977 0.250 0.427
9 U 0.070 0.501 0.756
10 U 0.430 0.499 0.256
11 U 0.570 0.999 0.244
12 U 0.930 0.001 0.744
13 S 0.041 0.500 0.251
14 S 0.160 0.210 0.845
15 S 0.164 0.790 0.850
16 S 0.170 0.010 0.563
17 S 0.197 0.491 0.535
18 S 0.303 0.509 0.035
19 S 0.330 0.990 0.063
20 S 0.336 0.210 0.350
21 S 0.340 0.790 0.345
22 S 0.459 0.500 0.751
23 S 0.541 0.000 0.749
24 S 0.660 0.290 0.155
25 S 0.664 0.710 0.150
26 S 0.670 0.490 0.437
27 S 0.697 0.009 0.465
28 S 0.803 0.991 0.965
29 S 0.830 0.510 0.937
30 S 0.836 0.290 0.650
31 S 0.840 0.710 0.655
32 S 0.959 0.000 0.249

---

Theoretical X-ray diffraction stick pattern of LaTmS3 for CuKα, from a DFT-relaxed cell (PBE, the Materials Project).
Neutral-atom scattering factors, no anomalous dispersion.

Principal peaks in the range 5 to 70 degrees two-theta, in order of rising 2θ:
23.70°, intensity 33; 24.38°, intensity 100; 24.61°, intensity 32; 24.91°, intensity 90; 25.58°, intensity 56; 25.74°, intensity 86; 28.53°, intensity 48; 32.90°, intensity 43; 33.85°, intensity 36; 36.91°, intensity 62; 45.32°, intensity 53; 52.87°, intensity 35

Cell and atoms:
Lattice parameters (Å, degrees): 11.066 4.002 21.630 90.00 101.48 90.00
Sites, in units of the cell vectors:
1 La 0.092 0.250 0.364
2 La 0.200 0.250 0.035
3 La 0.302 0.750 0.735
4 La 0.309 0.250 0.232
5 La 0.691 0.750 0.768
6 La 0.698 0.250 0.265
7 La 0.800 0.750 0.965
8 La 0.908 0.750 0.636
9 Tm 0.029 0.250 0.851
10 Tm 0.180 0.250 0.547
11 Tm 0.448 0.250 0.917
12 Tm 0.477 0.750 0.412
13 Tm 0.523 0.250 0.588
14 Tm 0.552 0.750 0.083
15 Tm 0.820 0.750 0.453
16 Tm 0.971 0.750 0.149
17 S 0.036 0.250 0.228
18 S 0.058 0.750 0.943
19 S 0.086 0.750 0.464
20 S 0.125 0.250 0.663
21 S 0.204 0.750 0.134
22 S 0.253 0.750 0.326
23 S 0.254 0.250 0.826
24 S 0.342 0.750 0.599
25 S 0.357 0.750 0.985
26 S 0.366 0.250 0.464
27 S 0.454 0.250 0.133
28 S 0.494 0.250 0.721
29 S 0.506 0.750 0.279
30 S 0.546 0.750 0.867
31 S 0.634 0.750 0.536
32 S 0.643 0.250 0.015
33 S 0.658 0.250 0.401
34 S 0.746 0.750 0.174
35 S 0.747 0.250 0.674
36 S 0.796 0.250 0.866
37 S 0.875 0.750 0.337
38 S 0.914 0.250 0.536
39 S 0.942 0.250 0.057
40 S 0.964 0.750 0.772

---

Theoretical X-ray diffraction stick pattern of LaTm3S6 for CuKα, from a DFT-relaxed cell (PBE, the Materials Project).
Neutral-atom scattering factors, no anomalous dispersion.

Principal peaks in the range 5 to 70 degrees two-theta, in order of rising 2θ:
16.27°, intensity 29; 23.68°, intensity 76; 24.14°, intensity 100; 26.26°, intensity 70; 27.50°, intensity 43; 27.60°, intensity 50; 30.99°, intensity 70; 34.19°, intensity 48; 42.25°, intensity 62; 44.02°, intensity 38; 45.57°, intensity 49; 46.42°, intensity 33

Cell and atoms:
Lattice parameters (Å, degrees): 11.060 3.981 11.273 90.00 108.96 90.00
Sites, in units of the cell vectors:
1 La 0.051 0.250 0.195
2 La 0.949 0.750 0.805
3 Tm 0.161 0.250 0.588
4 Tm 0.321 0.750 0.000
5 Tm 0.444 0.250 0.334
6 Tm 0.556 0.750 0.666
7 Tm 0.679 0.250 0.000
8 Tm 0.839 0.750 0.412
9 S 0.081 0.750 0.408
10 S 0.122 0.250 0.964
11 S 0.198 0.750 0.749
12 S 0.270 0.750 0.231
13 S 0.393 0.250 0.557
14 S 0.478 0.250 0.112
15 S 0.522 0.750 0.888
16 S 0.607 0.750 0.443
17 S 0.730 0.250 0.769
18 S 0.802 0.250 0.251
19 S 0.878 0.750 0.036
20 S 0.919 0.250 0.592

---

Theoretical X-ray diffraction stick pattern of LaTmS3 for CuKα, from a DFT-relaxed cell (PBE, the Materials Project).
Neutral-atom scattering factors, no anomalous dispersion.

Principal peaks in the range 5 to 70 degrees two-theta, in order of rising 2θ:
24.36°, intensity 25; 24.94°, intensity 100; 27.90°, intensity 22; 28.37°, intensity 16; 29.91°, intensity 18; 35.41°, intensity 13; 35.54°, intensity 28; 40.58°, intensity 14; 43.92°, intensity 26; 45.34°, intensity 23; 52.44°, intensity 27; 64.96°, intensity 18

Cell and atoms:
Lattice parameters (Å, degrees): 16.484 4.000 21.432 90.00 90.00 90.00
Sites, in units of the cell vectors:
1 La 0.159 0.250 0.245
2 La 0.170 0.750 0.587
3 La 0.194 0.250 0.921
4 La 0.306 0.750 0.421
5 La 0.330 0.250 0.087
6 La 0.341 0.750 0.745
7 La 0.659 0.250 0.255
8 La 0.670 0.750 0.913
9 La 0.694 0.250 0.579
10 La 0.806 0.750 0.079
11 La 0.830 0.250 0.413
12 La 0.841 0.750 0.755
13 Tm 0.057 0.750 0.069
14 Tm 0.066 0.250 0.420
15 Tm 0.095 0.250 0.750
16 Tm 0.405 0.750 0.250
17 Tm 0.434 0.750 0.920
18 Tm 0.443 0.250 0.569
19 Tm 0.557 0.750 0.431
20 Tm 0.566 0.250 0.080
21 Tm 0.595 0.250 0.750
22 Tm 0.905 0.750 0.250
23 Tm 0.934 0.750 0.580
24 Tm 0.943 0.250 0.931
25 S 0.036 0.750 0.682
26 S 0.043 0.250 0.552
27 S 0.051 0.750 0.193
28 S 0.059 0.750 0.942
29 S 0.146 0.750 0.351
30 S 0.159 0.250 0.063
31 S 0.176 0.750 0.815
32 S 0.209 0.250 0.483
33 S 0.230 0.250 0.678
34 S 0.270 0.750 0.178
35 S 0.291 0.750 0.983
36 S 0.324 0.250 0.315
37 S 0.341 0.750 0.563
38 S 0.354 0.250 0.851
39 S 0.441 0.250 0.442
40 S 0.449 0.250 0.693
41 S 0.457 0.750 0.052
42 S 0.464 0.250 0.182
43 S 0.536 0.750 0.818
44 S 0.543 0.250 0.948
45 S 0.551 0.750 0.307
46 S 0.559 0.750 0.558
47 S 0.646 0.750 0.149
48 S 0.659 0.250 0.437
49 S 0.676 0.750 0.685
50 S 0.709 0.250 0.017
51 S 0.730 0.250 0.822
52 S 0.770 0.750 0.322
53 S 0.791 0.750 0.517
54 S 0.824 0.250 0.185
55 S 0.841 0.750 0.937
56 S 0.854 0.250 0.649
57 S 0.941 0.250 0.058
58 S 0.949 0.250 0.807
59 S 0.957 0.750 0.448
60 S 0.964 0.250 0.318

---

Please write out number 1 again, unchanged.
Theoretical X-ray diffraction stick pattern of La2SmS4 for CuKα, from a DFT-relaxed cell (PBE, the Materials Project).
Neutral-atom scattering factors, no anomalous dispersion.

Principal peaks in the range 5 to 70 degrees two-theta, in order of rising 2θ:
25.18°, intensity 100; 29.15°, intensity 8; 32.69°, intensity 96; 38.90°, intensity 59; 46.91°, intensity 40; 49.34°, intensity 26; 51.69°, intensity 8; 53.96°, intensity 29; 58.31°, intensity 6; 66.53°, intensity 32; 66.63°, intensity 5; 68.46°, intensity 5

Cell and atoms:
Lattice parameters (Å, degrees): 7.502 7.502 7.502 109.42 109.42 109.58
Sites, in units of the cell vectors:
1 La 0.005 0.125 0.380
2 La 0.375 0.995 0.120
3 La 0.745 0.625 0.620
4 La 0.875 0.255 0.880
5 Sm 0.250 0.750 0.500
6 Sm 0.500 0.500 0.000
7 S 0.130 0.025 0.750
8 S 0.130 0.525 0.750
9 S 0.275 0.380 0.250
10 S 0.475 0.225 0.605
11 S 0.620 0.870 0.395
12 S 0.620 0.870 0.895
13 S 0.775 0.380 0.250
14 S 0.975 0.725 0.105